(1)
AcInBr: simulated X-ray powder pattern (copper Kα), based on DFT lattice parameters and positions (GGA-PBE).

Most intense lines, 2θ from 10° to 80°, most intense first:
- 2θ = 26.75°, intensity 100
- 2θ = 38.01°, intensity 83
- 2θ = 31.90°, intensity 41
- 2θ = 26.01°, intensity 38
- 2θ = 30.94°, intensity 32
- 2θ = 44.01°, intensity 29
- 2θ = 21.67°, intensity 28
- 2θ = 31.25°, intensity 25
- 2θ = 49.76°, intensity 17
- 2θ = 46.61°, intensity 16
- 2θ = 15.08°, intensity 15
- 2θ = 38.55°, intensity 13

Structure:
```
data_AcInBr
_chemical_formula_sum 'Ac4 In4 Br4'
_space_group_name_H-M_alt 'C 1 2/m 1'
_space_group_IT_number 12
_cell_length_a 8.1998
_cell_length_b 4.7389
_cell_length_c 11.7634
_cell_angle_alpha 90.00
_cell_angle_beta 92.30
_cell_angle_gamma 90.00
loop_
_space_group_symop_operation_xyz
'x,y,z'
'-x,-y,-z'
'-x,y,-z'
'x,-y,z'
'x+1/2,y+1/2,z'
'-x+1/2,-y+1/2,-z'
'-x+1/2,y+1/2,-z'
'x+1/2,-y+1/2,z'
loop_
_atom_site_label
_atom_site_type_symbol
_atom_site_fract_x
_atom_site_fract_y
_atom_site_fract_z
Ac1 Ac 0.0116 0.0000 0.2013
In1 In 0.1645 0.5000 0.9614
Br1 Br 0.1865 0.5000 0.3503
```


(2)
Er4Cu: simulated X-ray powder pattern (copper Kα), based on DFT lattice parameters and positions (GGA-PBE).

Most intense lines, 2θ from 10° to 80°, most intense first:
- 2θ = 32.23°, intensity 100
- 2θ = 32.13°, intensity 39
- 2θ = 28.66°, intensity 36
- 2θ = 32.97°, intensity 32
- 2θ = 53.68°, intensity 19
- 2θ = 41.01°, intensity 18
- 2θ = 28.78°, intensity 18
- 2θ = 59.41°, intensity 14
- 2θ = 59.60°, intensity 14
- 2θ = 53.52°, intensity 14
- 2θ = 38.90°, intensity 13
- 2θ = 39.13°, intensity 13

Structure:
```
data_Er4Cu
_chemical_formula_sum 'Er32 Cu8'
_space_group_name_H-M_alt 'F d d 2'
_space_group_IT_number 43
_space_group_name_Hall 'F 2 -2d'
_cell_length_a 12.4385
_cell_length_b 12.4796
_cell_length_c 7.1553
_cell_angle_alpha 90.00
_cell_angle_beta 90.00
_cell_angle_gamma 90.00
loop_
_atom_site_label
_atom_site_type_symbol
_atom_site_fract_x
_atom_site_fract_y
_atom_site_fract_z
Er1 Er 0.0783 0.1286 0.0000
Er2 Er 0.1211 0.1718 0.5413
Cu1 Cu 0.0000 0.0000 0.6459
```


(3)
Ca5Ge2H2: simulated X-ray powder pattern (copper Kα), based on DFT lattice parameters and positions (GGA-PBE).

Most intense lines, 2θ from 10° to 80°, most intense first:
- 2θ = 33.05°, intensity 100
- 2θ = 32.30°, intensity 96
- 2θ = 33.46°, intensity 81
- 2θ = 38.53°, intensity 80
- 2θ = 18.99°, intensity 53
- 2θ = 36.65°, intensity 36
- 2θ = 27.42°, intensity 34
- 2θ = 54.23°, intensity 29
- 2θ = 26.32°, intensity 27
- 2θ = 26.54°, intensity 25
- 2θ = 66.69°, intensity 24
- 2θ = 50.45°, intensity 23

Structure:
```
data_Ca5Ge2H2
_chemical_formula_sum 'Ca20 Ge8 H8'
_space_group_name_H-M_alt 'I m a 2'
_space_group_IT_number 46
_cell_length_a 19.6168
_cell_length_b 6.7181
_cell_length_c 6.5046
_cell_angle_alpha 90.00
_cell_angle_beta 90.00
_cell_angle_gamma 90.00
loop_
_space_group_symop_operation_xyz
'x,y,z'
'-x,-y,z'
'-x+1/2,y,z'
'x+1/2,-y,z'
'x+1/2,y+1/2,z+1/2'
'-x+1/2,-y+1/2,z+1/2'
'-x,y+1/2,z+1/2'
'x,-y+1/2,z+1/2'
loop_
_atom_site_label
_atom_site_type_symbol
_atom_site_fract_x
_atom_site_fract_y
_atom_site_fract_z
Ca1 Ca 0.0099 0.2489 0.0000
Ca2 Ca 0.1425 0.5547 0.7662
Ca3 Ca 0.2500 0.0986 0.8338
Ge1 Ge 0.1078 0.5087 0.2440
H1 H 0.0000 0.0000 0.2511
H2 H 0.2500 0.0813 0.1950
```


(4)
HoMg9Cd3: simulated X-ray powder pattern (copper Kα), based on DFT lattice parameters and positions (GGA-PBE).

Most intense lines, 2θ from 10° to 80°, most intense first:
- 2θ = 35.74°, intensity 100
- 2θ = 35.46°, intensity 67
- 2θ = 25.01°, intensity 65
- 2θ = 35.16°, intensity 62
- 2θ = 12.43°, intensity 53
- 2θ = 17.52°, intensity 45
- 2θ = 25.13°, intensity 38
- 2θ = 30.58°, intensity 31
- 2θ = 17.66°, intensity 29
- 2θ = 24.73°, intensity 26
- 2θ = 51.32°, intensity 25
- 2θ = 35.77°, intensity 24

Structure:
```
data_HoMg9Cd3
_chemical_formula_sum 'Ho2 Mg18 Cd6'
_space_group_name_H-M_alt 'C 1 2/m 1'
_space_group_IT_number 12
_cell_length_a 5.8942
_cell_length_b 14.1758
_cell_length_c 7.6688
_cell_angle_alpha 90.00
_cell_angle_beta 111.81
_cell_angle_gamma 90.00
loop_
_space_group_symop_operation_xyz
'x,y,z'
'-x,-y,-z'
'-x,y,-z'
'x,-y,z'
'x+1/2,y+1/2,z'
'-x+1/2,-y+1/2,-z'
'-x+1/2,y+1/2,-z'
'x+1/2,-y+1/2,z'
loop_
_atom_site_label
_atom_site_type_symbol
_atom_site_fract_x
_atom_site_fract_y
_atom_site_fract_z
Ho1 Ho 0.0000 0.0000 0.0000
Mg1 Mg 0.0000 0.0000 0.5000
Mg2 Mg 0.1042 0.3937 0.2103
Mg3 Mg 0.1721 0.1757 0.3475
Cd1 Cd 0.0000 0.5000 0.5000
Cd2 Cd 0.2500 0.2500 0.0000
```


(5)
Pm4GeIr: simulated X-ray powder pattern (copper Kα), based on DFT lattice parameters and positions (GGA-PBE).

Most intense lines, 2θ from 10° to 80°, most intense first:
- 2θ = 27.61°, intensity 100
- 2θ = 28.09°, intensity 98
- 2θ = 30.59°, intensity 83
- 2θ = 27.78°, intensity 69
- 2θ = 35.75°, intensity 54
- 2θ = 47.66°, intensity 47
- 2θ = 47.49°, intensity 42
- 2θ = 41.66°, intensity 39
- 2θ = 35.37°, intensity 39
- 2θ = 12.20°, intensity 36
- 2θ = 41.92°, intensity 36
- 2θ = 28.20°, intensity 35

Structure:
```
data_Pm4GeIr
_chemical_formula_sum 'Pm8 Ge2 Ir2'
_space_group_name_H-M_alt 'P 1 21/c 1'
_space_group_IT_number 14
_cell_length_a 7.2562
_cell_length_b 7.1032
_cell_length_c 7.0993
_cell_angle_alpha 90.00
_cell_angle_beta 91.06
_cell_angle_gamma 90.00
loop_
_space_group_symop_operation_xyz
'x,y,z'
'-x,-y,-z'
'-x,y+1/2,-z+1/2'
'x,-y+1/2,z+1/2'
loop_
_atom_site_label
_atom_site_type_symbol
_atom_site_fract_x
_atom_site_fract_y
_atom_site_fract_z
Pm1 Pm 0.1513 0.1630 0.1680
Pm2 Pm 0.3263 0.6601 0.1539
Ge1 Ge 0.5000 0.0000 0.0000
Ir1 Ir 0.0000 0.0000 0.5000
```


(6)
Tb5Ge4: simulated X-ray powder pattern (copper Kα), based on DFT lattice parameters and positions (GGA-PBE).

Most intense lines, 2θ from 10° to 80°, most intense first:
- 2θ = 31.53°, intensity 100
- 2θ = 35.60°, intensity 57
- 2θ = 37.10°, intensity 49
- 2θ = 33.45°, intensity 43
- 2θ = 33.62°, intensity 37
- 2θ = 32.74°, intensity 36
- 2θ = 31.66°, intensity 32
- 2θ = 37.40°, intensity 31
- 2θ = 36.47°, intensity 29
- 2θ = 25.83°, intensity 26
- 2θ = 34.48°, intensity 24
- 2θ = 36.89°, intensity 23

Structure:
```
data_Tb5Ge4
_chemical_formula_sum 'Tb20 Ge16'
_space_group_name_H-M_alt 'P n m a'
_space_group_IT_number 62
_cell_length_a 7.6984
_cell_length_b 14.7823
_cell_length_c 7.7762
_cell_angle_alpha 90.00
_cell_angle_beta 90.00
_cell_angle_gamma 90.00
loop_
_space_group_symop_operation_xyz
'x,y,z'
'-x,-y,-z'
'-x+1/2,-y,z+1/2'
'x+1/2,y,-z+1/2'
'x+1/2,-y+1/2,-z+1/2'
'-x+1/2,y+1/2,z+1/2'
'-x,y+1/2,-z'
'x,-y+1/2,z'
loop_
_atom_site_label
_atom_site_type_symbol
_atom_site_fract_x
_atom_site_fract_y
_atom_site_fract_z
Tb1 Tb 0.0315 0.1026 0.1764
Tb2 Tb 0.1178 0.6162 0.3391
Tb3 Tb 0.2169 0.2500 0.5020
Ge1 Ge 0.0865 0.2500 0.8831
Ge2 Ge 0.1643 0.7500 0.6362
Ge3 Ge 0.2229 0.0446 0.5302
```


(7)
Sr4Zn3Si5: simulated X-ray powder pattern (copper Kα), based on DFT lattice parameters and positions (GGA-PBE).

Most intense lines, 2θ from 10° to 80°, most intense first:
- 2θ = 31.14°, intensity 100
- 2θ = 42.41°, intensity 38
- 2θ = 59.28°, intensity 27
- 2θ = 53.55°, intensity 21
- 2θ = 70.58°, intensity 18
- 2θ = 39.42°, intensity 15
- 2θ = 66.36°, intensity 11
- 2θ = 24.11°, intensity 10
- 2θ = 26.03°, intensity 7
- 2θ = 77.59°, intensity 7
- 2θ = 46.74°, intensity 4
- 2θ = 38.30°, intensity 3

Structure:
```
data_Sr4Zn3Si5
_chemical_formula_sum 'Sr4 Zn3 Si5'
_space_group_name_H-M_alt 'P -6 m 2'
_space_group_IT_number 187
_space_group_name_Hall 'P -6 2'
_cell_length_a 4.2624
_cell_length_b 4.2624
_cell_length_c 18.2866
_cell_angle_alpha 90.00
_cell_angle_beta 90.00
_cell_angle_gamma 120.00
loop_
_atom_site_label
_atom_site_type_symbol
_atom_site_fract_x
_atom_site_fract_y
_atom_site_fract_z
Sr1 Sr 0.0000 0.0000 0.1244
Sr2 Sr 0.0000 0.0000 0.3724
Zn1 Zn 0.3333 0.6667 0.0000
Zn2 Zn 0.6667 0.3333 0.2504
Si1 Si 0.3333 0.6667 0.2482
Si2 Si 0.3333 0.6667 0.5000
Si3 Si 0.6667 0.3333 0.0000
Si4 Si 0.6667 0.3333 0.5000
```


(8)
Y5Hg6Pb: simulated X-ray powder pattern (copper Kα), based on DFT lattice parameters and positions (GGA-PBE).

Most intense lines, 2θ from 10° to 80°, most intense first:
- 2θ = 33.90°, intensity 100
- 2θ = 34.20°, intensity 25
- 2θ = 34.36°, intensity 24
- 2θ = 61.05°, intensity 19
- 2θ = 49.27°, intensity 17
- 2θ = 61.25°, intensity 17
- 2θ = 71.34°, intensity 11
- 2θ = 24.06°, intensity 10
- 2θ = 60.36°, intensity 9
- 2θ = 48.13°, intensity 9
- 2θ = 60.47°, intensity 9
- 2θ = 23.53°, intensity 5

Structure:
```
data_Y5Hg6Pb
_chemical_formula_sum 'Y10 Hg12 Pb2'
_space_group_name_H-M_alt 'C m m m'
_space_group_IT_number 65
_space_group_name_Hall '-C 2 2'
_cell_length_a 5.2433
_cell_length_b 15.6583
_cell_length_c 7.5622
_cell_angle_alpha 90.00
_cell_angle_beta 90.00
_cell_angle_gamma 90.00
loop_
_atom_site_label
_atom_site_type_symbol
_atom_site_fract_x
_atom_site_fract_y
_atom_site_fract_z
Y1 Y 0.0000 0.0000 0.0000
Y2 Y 0.0000 0.3284 0.0000
Y3 Y 0.0000 0.3465 0.5000
Hg1 Hg 0.0000 0.1730 0.2551
Hg2 Hg 0.0000 0.5000 0.2270
Pb1 Pb 0.0000 0.0000 0.5000
```